1.
Calculated X-ray diffraction stick pattern of DyAs3Ru5 for Cu Kα (weighted mean of Kα1 and Kα2), from a PBE-relaxed structure.
Lines closer than 0.1° are merged.

Cell and atoms:
abc: 3.1220 13.2610 14.2506
angles: 90.00 90.00 90.00
Space group Cmcm (No. 63)
One atom of each set of equivalent atoms:
Dy: 0.0000 0.1597 0.2500 [4 per cell]
As: 0.0000 0.1254 0.7500 [4 per cell]
As: 0.0000 0.3647 0.5509 [8 per cell]
Ru: 0.0000 0.0000 0.0000 [4 per cell]
Ru: 0.0000 0.1902 0.5854 [8 per cell]
Ru: 0.0000 0.4855 0.1557 [8 per cell]

Top 12 peaks for 10 to 90 degrees two-theta, in order of rising 2θ:
2θ 32.95, intensity 34
2θ 35.05, intensity 96
2θ 35.19, intensity 49
2θ 37.04, intensity 22
2θ 37.46, intensity 100
2θ 38.95, intensity 56
2θ 40.34, intensity 65
2θ 40.83, intensity 46
2θ 46.71, intensity 36
2θ 47.07, intensity 39
2θ 48.97, intensity 24
2θ 59.19, intensity 32

2.
Calculated X-ray diffraction stick pattern of CsAcHg2O4 for Cu Kα (weighted mean of Kα1 and Kα2), from a PBE-relaxed structure.
Lines closer than 0.1° are merged.

Cell and atoms:
abc: 6.4577 7.0133 8.1832
angles: 90.00 90.00 90.00
Space group I222 (No. 23)
One atom of each set of equivalent atoms:
Cs: 0.0000 0.0000 0.0000 [2 per cell]
Ac: 0.0000 0.0000 0.5000 [2 per cell]
Hg: 0.0000 0.5000 0.1989 [4 per cell]
O: 0.2360 0.1576 0.3145 [8 per cell]

Top 12 peaks for 10 to 90 degrees two-theta, in order of rising 2θ:
2θ 16.65, intensity 21
2θ 25.40, intensity 40
2θ 27.63, intensity 29
2θ 28.80, intensity 100
2θ 35.73, intensity 11
2θ 37.88, intensity 33
2θ 44.33, intensity 16
2θ 46.92, intensity 27
2θ 49.59, intensity 23
2θ 60.04, intensity 9
2θ 62.94, intensity 11
2θ 72.76, intensity 7

3.
Calculated X-ray diffraction stick pattern of RbCe2PuO8 for Cu Kα (weighted mean of Kα1 and Kα2), from a PBE-relaxed structure.
Lines closer than 0.1° are merged.

Cell and atoms:
abc: 5.3068 7.2058 5.3769
angles: 90.00 90.50 90.00
Space group P2/m (No. 10)
One atom of each set of equivalent atoms:
Rb: 0.0000 0.0000 0.0000 [1 per cell]
Ce: 0.5000 0.2491 0.5000 [2 per cell]
Pu: 0.0000 0.5000 0.0000 [1 per cell]
O: 0.1902 0.3145 0.1769 [4 per cell]
O: 0.3027 0.5000 0.6891 [2 per cell]
O: 0.3225 0.0000 0.6427 [2 per cell]

Top 12 peaks for 10 to 90 degrees two-theta, in order of rising 2θ:
2θ 12.28, intensity 32
2θ 23.45, intensity 100
2θ 23.66, intensity 96
2θ 29.85, intensity 82
2θ 29.98, intensity 84
2θ 33.33, intensity 29
2θ 33.78, intensity 25
2θ 45.31, intensity 36
2θ 45.56, intensity 68
2θ 45.81, intensity 33
2θ 57.43, intensity 21
2θ 58.09, intensity 20

4.
Calculated X-ray diffraction stick pattern of La2CoH6Rh for Cu Kα (weighted mean of Kα1 and Kα2), from a PBE-relaxed structure.
Lines closer than 0.1° are merged.

Cell and atoms:
abc: 7.3625 7.2195 5.3499
angles: 90.00 133.30 90.00
Space group C2/m (No. 12)
One atom of each set of equivalent atoms:
La: 0.0000 0.2500 0.0000 [4 per cell]
Co: 0.0000 0.0000 0.5000 [2 per cell]
H: 0.0000 0.2403 0.5000 [4 per cell]
H: 0.2143 0.0000 0.9280 [4 per cell]
H: 0.2360 0.0000 0.4996 [4 per cell]
Rh: 0.0000 0.5000 0.5000 [2 per cell]

Top 12 peaks for 10 to 90 degrees two-theta, in order of rising 2θ:
2θ 33.44, intensity 52
2θ 33.55, intensity 51
2θ 33.86, intensity 100
2θ 34.81, intensity 93
2θ 46.65, intensity 21
2θ 49.52, intensity 18
2θ 50.57, intensity 16
2θ 59.43, intensity 19
2θ 59.57, intensity 19
2θ 61.28, intensity 18
2θ 61.41, intensity 17
2θ 62.03, intensity 34

5.
Calculated X-ray diffraction stick pattern of AlSb2Pb2 for Cu Kα (weighted mean of Kα1 and Kα2), from a PBE-relaxed structure.
Lines closer than 0.1° are merged.

Cell and atoms:
abc: 8.0405 8.0405 4.6269
angles: 90.00 90.00 90.00
Space group P4/mbm (No. 127)
One atom of each set of equivalent atoms:
Al: 0.0000 0.0000 0.0000 [2 per cell]
Sb: 0.1700 0.3300 0.0000 [4 per cell]
Pb: 0.1469 0.6469 0.5000 [4 per cell]

Top 12 peaks for 10 to 90 degrees two-theta, in order of rising 2θ:
2θ 15.59, intensity 17
2θ 22.11, intensity 11
2θ 24.78, intensity 12
2θ 31.51, intensity 100
2θ 35.30, intensity 21
2θ 38.93, intensity 13
2θ 45.11, intensity 10
2θ 48.01, intensity 10
2θ 50.81, intensity 16
2θ 53.55, intensity 13
2θ 65.72, intensity 19
2θ 65.90, intensity 12

6.
Calculated X-ray diffraction stick pattern of PmSmMg3 for Cu Kα (weighted mean of Kα1 and Kα2), from a PBE-relaxed structure.
Lines closer than 0.1° are merged.

Cell and atoms:
abc: 6.2400 6.2400 25.3356
angles: 90.00 90.00 120.00
Space group R-3m (No. 166, hexagonal axes)
One atom of each set of equivalent atoms:
Pm: 0.0000 0.0000 0.0673 [6 per cell]
Sm: 0.0000 0.0000 0.3342 [6 per cell]
Mg: 0.0074 0.5037 0.8804 [18 per cell]

Top 12 peaks for 10 to 90 degrees two-theta, in order of rising 2θ:
2θ 10.48, intensity 89
2θ 24.08, intensity 32
2θ 28.61, intensity 99
2θ 29.71, intensity 70
2θ 30.55, intensity 100
2θ 32.78, intensity 53
2θ 37.73, intensity 29
2θ 51.37, intensity 29
2θ 52.32, intensity 25
2θ 53.38, intensity 29
2θ 59.23, intensity 24
2θ 62.53, intensity 25